Li4Co7O3F13: calculated PXRD pattern (λ = 1.5418 Å (Cu Kα)), based on a DFT-relaxed cell (GGA+U, Alexandria).
Intensities are scaled so that the largest is 100.

Crystal structure
```
data_Li4Co7O3F13
_chemical_formula_sum 'Li4 Co7 O3 F13'
_symmetry_space_group_name_H-M 'P 1'
_symmetry_Int_Tables_number 1
_cell_length_a 5.9920
_cell_length_b 6.0961
_cell_length_c 10.4148
_cell_angle_alpha 91.56
_cell_angle_beta 104.58
_cell_angle_gamma 118.71
loop_
_symmetry_equiv_pos_as_xyz
'x,y,z'
loop_
_atom_site_label
_atom_site_type_symbol
_atom_site_fract_x
_atom_site_fract_y
_atom_site_fract_z
_atom_site_occupancy
Li1 Li 0.0000 0.0000 0.0000 1
Li2 Li 0.0230 0.5405 0.5011 1
Li3 Li 0.7654 0.8557 0.6317 1
Li4 Li 0.7884 0.3991 0.1275 1
Co1 Co 0.3680 0.1854 0.5651 1
Co2 Co 0.3822 0.9323 0.8178 1
Co3 Co 0.3861 0.9417 0.3157 1
Co4 Co 0.3912 0.6572 0.0700 1
Co5 Co 0.4017 0.4654 0.3070 1
Co6 Co 0.8856 0.4253 0.8140 1
Co7 Co 0.9053 0.9390 0.3132 1
O1 O 0.1597 0.8635 0.4335 1
O2 O 0.1984 0.6118 0.1908 1
O3 O 0.6433 0.6076 0.1915 1
F1 F 0.1232 0.3214 0.9399 1
F2 F 0.1331 0.5824 0.6989 1
F3 F 0.1392 0.7853 0.9431 1
F4 F 0.1481 0.0445 0.6941 1
F5 F 0.1543 0.3276 0.4348 1
F6 F 0.1623 0.0961 0.1923 1
F7 F 0.6106 0.8187 0.9507 1
F8 F 0.6173 0.3225 0.4323 1
F9 F 0.6291 0.0620 0.6930 1
F10 F 0.6408 0.2838 0.9319 1
F11 F 0.6419 0.5251 0.6856 1
F12 F 0.6451 0.8239 0.4393 1
F13 F 0.6705 0.0860 0.2129 1
```

Peak list (10 most intense, 2θ = 10–80°, by angle)
2θ = 17.67°, I = 63; 2θ = 17.87°, I = 31; 2θ = 18.27°, I = 100; 2θ = 33.91°, I = 18; 2θ = 34.22°, I = 22; 2θ = 34.63°, I = 17; 2θ = 41.55°, I = 47; 2θ = 41.73°, I = 46; 2θ = 42.86°, I = 43; 2θ = 59.87°, I = 15